Starting from a PBE-relaxed structure, the PXRD pattern of CaH12S2O9 was computed for λ = 1.5418 Å (Cu Kα).

Cell and atoms:
a = 5.8155 Å, b = 7.4852 Å, c = 11.3561 Å
α = 72.09°, β = 81.99°, γ = 86.88°
Space group P-1 (No. 2)
Inequivalent atoms, fractional coordinates:
Ca1 0.0853 0.3922 0.2652
H1 0.0175 0.2267 0.8983
H2 0.0307 0.0328 0.6154
H3 0.0857 0.3316 0.5453
H4 0.1418 0.9647 0.7403
H5 0.1647 0.7174 0.4729
H6 0.1837 0.6558 0.9337
H7 0.2550 0.7737 0.1048
H8 0.2958 0.3781 0.0035
H9 0.3550 0.1848 0.1034
H10 0.3593 0.6520 0.8155
H11 0.4382 0.0648 0.3552
H12 0.4636 0.2251 0.4140
S1 0.3853 0.1060 0.8526
S2 0.4504 0.3001 0.6820
O1 0.0025 0.2674 0.5000
O2 0.0404 0.9247 0.6912
O3 0.1292 0.7038 0.0888
O4 0.2193 0.5909 0.8692
O5 0.2326 0.4118 0.6542
O6 0.3047 0.3154 0.0928
O7 0.3584 0.5782 0.3171
O8 0.4306 0.2024 0.3372
O9 0.4798 0.7996 0.4129

Peak list (10 most intense, 2θ = 10–90°, by intensity)
2θ/deg	I (rel.)
20.91	100
16.55	80
12.43	74
31.21	58
31.10	55
21.74	52
19.71	48
34.20	47
30.65	43
33.41	43

***

Starting from a PBE-relaxed structure, the PXRD pattern of CsNdS2 was computed for λ = 1.5418 Å (Cu Kα).

Cell and atoms:
a = 4.2551 Å, b = 4.2551 Å, c = 24.2855 Å
α = 90.00°, β = 90.00°, γ = 120.00°
Space group R-3m (No. 166, hexagonal axes)
Inequivalent atoms, fractional coordinates:
Cs1 0.0000 0.0000 0.0000
Nd1 0.0000 0.0000 0.5000
S1 0.0000 0.0000 0.2288

Peak list (10 most intense, 2θ = 10–90°, by intensity)
2θ/deg	I (rel.)
28.33	100
25.26	52
38.42	37
42.49	34
21.96	29
44.71	24
48.33	22
63.41	20
51.86	18
69.21	15

***

Starting from a PBE-relaxed structure, the PXRD pattern of AsSeI was computed for λ = 1.5418 Å (Cu Kα).

Cell and atoms:
a = 9.5811 Å, b = 4.0148 Å, c = 13.7987 Å
α = 90.00°, β = 131.39°, γ = 90.00°
Space group P2_1/c (No. 14)
Inequivalent atoms, fractional coordinates:
As1 0.0098 0.1170 0.3654
Se1 0.1967 0.0722 0.3026
I1 0.2789 0.5493 0.5731

Peak list (10 most intense, 2θ = 10–90°, by intensity)
2θ/deg	I (rel.)
29.42	100
29.66	90
12.31	77
29.91	58
18.54	52
44.62	37
28.13	36
34.27	35
44.36	31
38.66	31

***

Starting from a PBE-relaxed structure, the PXRD pattern of Y14Ge4O29F5 was computed for λ = 1.5418 Å (Cu Kα).

Cell and atoms:
a = 5.6377 Å, b = 11.0137 Å, c = 12.2272 Å
α = 89.96°, β = 89.99°, γ = 79.98°
Space group P1 (No. 1)
Inequivalent atoms, fractional coordinates:
Y1 0.0000 0.0000 0.0000
Y2 0.9998 0.0005 0.7099
Y3 0.0514 0.3273 0.3574
Y4 0.1096 0.6565 0.7073
Y5 0.1123 0.6571 0.9998
Y6 0.1858 0.0043 0.3555
Y7 0.4306 0.1545 0.8546
Y8 0.4990 0.5010 0.5002
Y9 0.5004 0.5011 0.2082
Y10 0.5538 0.8282 0.8563
Y11 0.6134 0.1570 0.2105
Y12 0.6127 0.1574 0.4999
Y13 0.6823 0.5035 0.8572
Y14 0.9240 0.6549 0.3580
Ge1 0.0557 0.3293 0.0761
Ge2 0.0558 0.3298 0.6342
Ge3 0.5557 0.8286 0.1340
Ge4 0.5559 0.8290 0.5756
O1 0.1164 0.1947 0.7168
O2 0.1165 0.1950 0.9936
O3 0.1319 0.6316 0.5219
O4 0.2448 0.9895 0.8547
O5 0.2504 0.4938 0.3566
O6 0.2962 0.3299 0.5371
O7 0.2966 0.3325 0.1725
O8 0.3146 0.8255 0.6725
O9 0.3148 0.8276 0.0371
O10 0.3589 0.6639 0.8554
O11 0.3650 0.1711 0.3544
O12 0.4800 0.5293 0.0256
O13 0.4842 0.9640 0.4943
O14 0.4883 0.9633 0.2166
O15 0.6194 0.6942 0.2161
O16 0.6187 0.6945 0.4933
O17 0.6350 0.1316 0.0245
O18 0.6346 0.1316 0.6855
O19 0.7430 0.4872 0.3547
O20 0.7486 0.9925 0.8549
O21 0.7963 0.8305 0.6727
O22 0.7964 0.8311 0.0370
O23 0.8141 0.3274 0.1720
O24 0.8141 0.3267 0.5379
O25 0.8596 0.1634 0.3548
O26 0.8645 0.6688 0.8545
O27 0.9869 0.4630 0.7171
O28 0.9884 0.4631 0.9928
O29 0.9880 0.8462 0.3544
F1 0.1265 0.6292 0.1832
F2 0.4842 0.5296 0.6828
F3 0.4952 0.3443 0.8538
F4 0.9871 0.0280 0.1822
F5 0.9866 0.0292 0.5285

Peak list (10 most intense, 2θ = 10–90°, by intensity)
2θ/deg	I (rel.)
27.14	100
26.99	71
31.80	40
49.41	32
33.80	29
33.12	29
52.28	27
25.93	24
24.13	21
32.25	21